Entry 1:
The following is a simulated XRD peak list of AlCS2. It was derived from a GGA-PBE-relaxed structure, using Cu Kα.
Peak positions follow from Bragg's law for the DFT cell and can differ from measured ones.

Largest 6 diffraction maxima, in order of rising 2θ, 10 to 80 degrees two-theta:
| 2θ/deg | intensity | (hkl) |
| --- | --- | --- |
| 15.01 | 247 | 0 0 3 |
| 28.51 | 432 | 1 0 1 |
| 29.85 | 1000 | 0 1 2 |
| 38.02 | 706 | 0 1 5 |
| 45.83 | 240 | 1 0 7 |
| 49.65 | 505 | 1 1 0 |

Cell and atoms:
abc: 3.6725 3.6725 17.7100
angles: 90.00 90.00 120.00
Space group R-3m (No. 166, hexagonal axes)
Inequivalent atoms, fractional coordinates:
Al: 0.0000 0.0000 0.0000 [3 per cell]
C: 0.0000 0.0000 0.5000 [3 per cell]
S: 0.0000 0.0000 0.4097 [6 per cell]

---

Entry 2:
The following is a simulated XRD peak list of LaSm7Er12. It was derived from a GGA-PBE-relaxed structure, using Cu Kα.
Peak positions follow from Bragg's law for the DFT cell and can differ from measured ones.

Largest 6 diffraction maxima, in order of rising 2θ, 10 to 80 degrees two-theta:
| 2θ/deg | intensity | (hkl) |
| --- | --- | --- |
| 30.20 | 286 | 0 1 5 |
| 31.14 | 1000 | 1 3 1 |
| 32.32 | 524 | 2 1 4 |
| 32.77 | 487 | 4 -1 2 |
| 33.68 | 275 | 2 0 5 |
| 54.33 | 281 | 5 2 0 |

Cell and atoms:
abc: 12.1693 12.1693 15.4181
angles: 90.00 90.00 120.00
Space group R-3 (No. 148, hexagonal axes)
Inequivalent atoms, fractional coordinates:
La: 0.0000 0.0000 0.0000 [3 per cell]
Sm: 0.0000 0.0000 0.5000 [3 per cell]
Sm: 0.0514 0.4651 0.5870 [18 per cell]
Er: 0.0180 0.5719 0.2061 [18 per cell]
Er: 0.0443 0.8573 0.3021 [18 per cell]

---

Entry 3:
The following is a simulated XRD peak list of Pm4Zn3Ge. It was derived from a GGA-PBE-relaxed structure, using Cu Kα.
Peak positions follow from Bragg's law for the DFT cell and can differ from measured ones.

Largest 6 diffraction maxima, in order of rising 2θ, 10 to 80 degrees two-theta:
| 2θ/deg | intensity | (hkl) |
| --- | --- | --- |
| 24.33 | 288 | 1 0 4 |
| 34.60 | 992 | 0 1 8 |
| 34.76 | 1000 | 1 1 0 |
| 49.85 | 350 | 2 0 8 |
| 62.20 | 355 | 1 2 8 |
| 62.31 | 180 | 3 0 0 |

Cell and atoms:
abc: 5.1620 5.1620 25.4615
angles: 90.00 90.00 120.00
Space group R-3m (No. 166, hexagonal axes)
Inequivalent atoms, fractional coordinates:
Pm: 0.0000 0.0000 0.1231 [6 per cell]
Pm: 0.0000 0.0000 0.3735 [6 per cell]
Zn: 0.0000 0.0000 0.2438 [6 per cell]
Zn: 0.0000 0.0000 0.5000 [3 per cell]
Ge: 0.0000 0.0000 0.0000 [3 per cell]

---

Entry 4:
The following is a simulated XRD peak list of Y2TmThSc4. It was derived from a GGA-PBE-relaxed structure, using Cu Kα.
Peak positions follow from Bragg's law for the DFT cell and can differ from measured ones.

Largest 6 diffraction maxima, in order of rising 2θ, 10 to 80 degrees two-theta:
| 2θ/deg | intensity | (hkl) |
| --- | --- | --- |
| 19.34 | 231 | 0 0 2 |
| 20.41 | 224 | 1 0 1 |
| 25.50 | 242 | 1 1 0 |
| 32.20 | 1000 | 1 1 2 |
| 36.37 | 358 | 2 0 0 |
| 62.83 | 282 | 3 1 2 |

Cell and atoms:
abc: 4.9403 4.9403 9.1799
angles: 90.00 90.00 90.00
Space group P4/mmm (No. 123)
Inequivalent atoms, fractional coordinates:
Y: 0.0000 0.0000 0.0000 [1 per cell]
Y: 0.5000 0.5000 0.5000 [1 per cell]
Tm: 0.0000 0.0000 0.5000 [1 per cell]
Th: 0.5000 0.5000 0.0000 [1 per cell]
Sc: 0.0000 0.5000 0.2481 [4 per cell]

---

Entry 5:
The following is a simulated XRD peak list of Pr7Te4As4. It was derived from a GGA-PBE-relaxed structure, using Cu Kα.
Peak positions follow from Bragg's law for the DFT cell and can differ from measured ones.

Largest 6 diffraction maxima, in order of rising 2θ, 10 to 80 degrees two-theta:
| 2θ/deg | intensity | (hkl) |
| --- | --- | --- |
| 22.84 | 282 | 0 0 2 |
| 29.33 | 331 | 3 1 2 |
| 31.15 | 1000 | 5 0 1 |
| 34.72 | 432 | 4 2 2 |
| 34.86 | 181 | 6 0 0 |
| 45.65 | 341 | 5 0 3 |

Cell and atoms:
abc: 15.4423 15.4423 7.7887
angles: 90.00 90.00 90.00
Space group I4/mmm (No. 139)
Inequivalent atoms, fractional coordinates:
Pr: 0.0000 0.0000 0.2433 [4 per cell]
Pr: 0.0000 0.2847 0.0000 [8 per cell]
Pr: 0.0000 0.3650 0.5000 [8 per cell]
Pr: 0.2124 0.2124 0.5000 [8 per cell]
Te: 0.0000 0.1678 0.5000 [8 per cell]
Te: 0.1261 0.1261 0.0000 [8 per cell]
As: 0.1456 0.3544 0.2500 [16 per cell]